Diffraction record for Gd3BWO9. The powder X-ray diffraction pattern is simulated, not measured: it uses a crystal structure in Alexandria, relaxed with PBE+U and Cu Kα X-rays.

Structural model:
Lattice parameters (Å, degrees): 8.694 8.694 5.477 90.00 90.00 120.00
Fractional coordinates of all 28 atoms:
1 Gd 0.077 0.721 0.000
2 Gd 0.279 0.356 0.000
3 Gd 0.356 0.077 0.500
4 Gd 0.644 0.923 0.000
5 Gd 0.721 0.644 0.500
6 Gd 0.923 0.279 0.500
7 B 0.000 0.000 0.177
8 B 0.000 0.000 0.677
9 W 0.333 0.667 0.541
10 W 0.667 0.333 0.041
11 O 0.060 0.880 0.669
12 O 0.120 0.180 0.669
13 O 0.131 0.521 0.767
14 O 0.180 0.060 0.169
15 O 0.205 0.463 0.335
16 O 0.258 0.795 0.335
17 O 0.390 0.869 0.767
18 O 0.463 0.258 0.835
19 O 0.479 0.610 0.767
20 O 0.521 0.390 0.267
21 O 0.537 0.742 0.335
22 O 0.610 0.131 0.267
23 O 0.742 0.205 0.835
24 O 0.795 0.537 0.835
25 O 0.820 0.940 0.669
26 O 0.869 0.479 0.267
27 O 0.880 0.820 0.169
28 O 0.940 0.120 0.169

Peak list (12 most intense, 2θ = 10–80°, low angle first)
h k l, 2θ/deg, I (rel.)
1 1 1, 26.17, 100
2 0 1, 28.78, 96
1 2 0, 31.44, 21
0 0 2, 32.70, 24
2 1 1, 35.55, 26
3 0 0, 35.78, 28
1 3 0, 43.33, 20
1 2 2, 45.99, 26
3 0 2, 49.25, 33
3 2 1, 55.81, 36
2 0 3, 55.98, 19
5 0 1, 64.14, 19